This entry pairs a crystal structure of Pr2Dy12Th with its simulated XRD peak list. Radiation: Cu Ka. Structure: a DFT-relaxed cell (PBE, Alexandria).
Neutral-atom scattering factors, no anomalous dispersion.

Peak list (8 most intense, 2θ from 10° to 90°, by angle)
2θ 29.26, d = 3.052 Å, intensity 324; 2θ 29.66, d = 3.012 Å, intensity 622; 2θ 30.77, d = 2.906 Å, intensity 793; 2θ 31.29, d = 2.859 Å, intensity 1000; 2θ 31.84, d = 2.811 Å, intensity 289; 2θ 32.86, d = 2.726 Å, intensity 806; 2θ 33.28, d = 2.692 Å, intensity 615; 2θ 37.12, d = 2.422 Å, intensity 709

Structural model:
abc: 6.707 6.707 24.806
angles: 90.00 90.00 116.96
Fractional positions:
Pr  0.250  0.750  0.235
Pr  0.250  0.750  0.771
Pr  0.750  0.250  0.229
Pr  0.750  0.250  0.765
Dy  0.001  0.501  0.624
Dy  0.001  0.999  0.424
Dy  0.010  0.510  0.085
Dy  0.012  0.988  0.938
Dy  0.250  0.250  0.173
Dy  0.250  0.250  0.302
Dy  0.250  0.250  0.698
Dy  0.250  0.250  0.827
Dy  0.488  0.512  0.938
Dy  0.490  0.990  0.085
Dy  0.499  0.501  0.424
Dy  0.499  0.999  0.624
Dy  0.501  0.001  0.376
Dy  0.501  0.499  0.576
Dy  0.510  0.010  0.915
Dy  0.512  0.488  0.062
Dy  0.750  0.750  0.173
Dy  0.750  0.750  0.302
Dy  0.750  0.750  0.698
Dy  0.750  0.750  0.827
Dy  0.988  0.012  0.062
Dy  0.990  0.490  0.915
Dy  0.999  0.001  0.576
Dy  0.999  0.499  0.376
Th  0.250  0.750  0.500
Th  0.750  0.250  0.500